Record 1
Starting from a cell relaxed with GGA-PBE, the PXRD pattern of TeC4 was computed for Cu Kα (λ = 1.5418 Å).

Most intense lines, 10° ≤ 2θ ≤ 90°, in order of rising 2θ:
(hkl), two_theta, I/Imax
0 0 1, 14.96, 966
0 0 2, 30.18, 239
1 0 0, 33.08, 385
0 1 1, 36.49, 1000
1 0 2, 45.39, 470
0 1 3, 57.80, 269
1 1 0, 59.10, 169
1 1 1, 61.33, 157
1 1 2, 67.79, 138
2 0 1, 71.48, 131

Crystal structure
a = 3.1265 Å, b = 3.1265 Å, c = 5.9228 Å
α = 90.00°, β = 90.00°, γ = 120.00°
Space group P-3m1 (No. 164)
Inequivalent atoms, fractional coordinates:
Te (0.0000, 0.0000, 0.0000) (multiplicity 1)
C (0.3333, 0.6667, 0.2041) (multiplicity 2)
C (0.3333, 0.6667, 0.4494) (multiplicity 2)

=====

Record 2
Starting from a cell relaxed with GGA-PBE, the PXRD pattern of TeC5 was computed for Cu Kα (λ = 1.5418 Å).

Most intense lines, 10° ≤ 2θ ≤ 90°, in order of rising 2θ:
(hkl), two_theta, I/Imax
1 1 0, 15.31, 1000
0 2 0, 20.73, 279
2 0 0, 22.66, 772
2 2 0, 30.90, 215
1 3 0, 33.39, 315
3 1 0, 35.89, 138
1 1 1, 38.14, 472
3 3 0, 47.13, 251
1 3 1, 48.93, 155
3 1 1, 50.79, 198

Crystal structure
a = 7.850 Å, b = 8.568 Å, c = 2.584 Å
α = 90.00°, β = 90.00°, γ = 90.00°
Space group Cmmm (No. 65)
Inequivalent atoms, fractional coordinates:
Te (0.000, 0.000, 0.000) (multiplicity 2)
C (0.000, 0.259, 0.000) (multiplicity 4)
C (0.000, 0.340, 0.500) (multiplicity 4)
C (0.000, 0.500, 0.500) (multiplicity 2)

=====

Record 3
Starting from a cell relaxed with GGA-PBE, the PXRD pattern of Te8C was computed for Cu Kα (λ = 1.5418 Å).

Most intense lines, 10° ≤ 2θ ≤ 90°, in order of rising 2θ:
(hkl), two_theta, I/Imax
1 0 1, 24.86, 115
2 1 1, 29.38, 176
3 3 0, 33.04, 412
3 0 1, 33.34, 1000
5 1 0, 39.97, 161
5 0 1, 46.24, 150
0 0 2, 48.30, 113
5 4 1, 56.78, 164
6 3 1, 59.21, 152
3 3 2, 59.77, 147

Crystal structure
a = 11.502 Å, b = 11.502 Å, c = 3.768 Å
α = 90.00°, β = 90.00°, γ = 90.00°
Space group I4/mmm (No. 139)
Inequivalent atoms, fractional coordinates:
Te (0.000, 0.332, 0.000) (multiplicity 8)
Te (0.129, 0.129, 0.500) (multiplicity 8)
C (0.000, 0.000, 0.000) (multiplicity 2)

=====

Record 4
Starting from a cell relaxed with GGA-PBE, the PXRD pattern of Te2C was computed for Cu Kα (λ = 1.5418 Å).

Most intense lines, 10° ≤ 2θ ≤ 90°, in order of rising 2θ:
(hkl), two_theta, I/Imax
0 0 4, 23.45, 1000
0 2 0, 26.96, 999
1 0 1, 28.19, 549
1 0 3, 32.85, 919
0 2 4, 36.03, 657
1 2 1, 39.40, 454
1 2 3, 42.99, 862
1 0 7, 50.69, 309
1 2 7, 58.34, 410
1 4 3, 66.08, 234

Crystal structure
a = 3.237 Å, b = 6.615 Å, c = 15.172 Å
α = 90.00°, β = 90.00°, γ = 90.00°
Space group Immm (No. 71)
Inequivalent atoms, fractional coordinates:
Te (0.000, 0.000, 0.137) (multiplicity 4)
Te (0.000, 0.500, 0.147) (multiplicity 4)
C (0.000, 0.500, 0.456) (multiplicity 4)

=====

Record 5
Starting from a cell relaxed with GGA-PBE, the PXRD pattern of Th5Te5C2 was computed for Cu Kα (λ = 1.5418 Å).

Most intense lines, 10° ≤ 2θ ≤ 90°, in order of rising 2θ:
(hkl), two_theta, I/Imax
2 0 -3, 24.73, 164
3 1 0, 28.87, 120
3 1 -1, 29.03, 1000
4 0 2, 31.90, 339
2 0 -4, 32.06, 350
1 1 3, 34.07, 707
6 0 -2, 37.97, 119
0 2 0, 44.85, 200
7 1 1, 51.82, 119
2 2 -4, 56.14, 283

Crystal structure
a = 14.651 Å, b = 4.042 Å, c = 11.410 Å
α = 90.00°, β = 100.57°, γ = 90.00°
Space group C2/m (No. 12)
Inequivalent atoms, fractional coordinates:
Th (0.000, 0.000, 0.000) (multiplicity 2)
Th (0.099, 0.000, 0.334) (multiplicity 4)
Th (0.136, 0.500, 0.788) (multiplicity 4)
Te (0.000, 0.500, 0.500) (multiplicity 2)
Te (0.170, 0.500, 0.093) (multiplicity 4)
Te (0.222, 0.000, 0.613) (multiplicity 4)
C (0.043, 0.000, 0.803) (multiplicity 4)

=====

Record 6
Starting from a cell relaxed with GGA-PBE, the PXRD pattern of Tm5Te5C was computed for Cu Kα (λ = 1.5418 Å).

Most intense lines, 10° ≤ 2θ ≤ 90°, in order of rising 2θ:
(hkl), two_theta, I/Imax
0 2 0, 30.12, 1000
2 0 2, 30.67, 413
3 1 1, 31.33, 157
1 1 -3, 36.01, 178
3 1 -3, 37.25, 93
4 2 -2, 43.13, 329
2 2 2, 43.53, 557
2 2 -4, 53.85, 257
4 4 -2, 71.05, 113
2 4 -4, 79.32, 100

Crystal structure
a = 13.213 Å, b = 5.938 Å, c = 8.312 Å
α = 90.00°, β = 109.27°, γ = 90.00°
Space group C2/m (No. 12)
Inequivalent atoms, fractional coordinates:
Tm (0.000, 0.000, 0.000) (multiplicity 2)
Tm (0.138, 0.500, 0.282) (multiplicity 4)
Tm (0.142, 0.500, 0.863) (multiplicity 4)
Te (0.000, 0.500, 0.500) (multiplicity 2)
Te (0.160, 0.000, 0.813) (multiplicity 4)
Te (0.180, 0.000, 0.334) (multiplicity 4)
C (0.000, 0.500, 0.000) (multiplicity 2)

=====

Record 7
Starting from a cell relaxed with GGA-PBE, the PXRD pattern of TeWC3 was computed for Cu Kα (λ = 1.5418 Å).

Most intense lines, 10° ≤ 2θ ≤ 90°, in order of rising 2θ:
(hkl), two_theta, I/Imax
1 0 0, 21.29, 64
1 1 0, 30.29, 1000
2 0 0, 43.37, 243
2 1 0, 48.80, 29
2 1 1, 53.82, 409
2 2 0, 63.01, 156
3 0 0, 67.32, 14
3 1 0, 71.50, 176
2 2 2, 79.59, 53
3 2 1, 87.47, 213

Crystal structure
a = 4.173 Å, b = 4.173 Å, c = 4.173 Å
α = 90.00°, β = 90.00°, γ = 90.00°
Space group Pm-3m (No. 221)
Inequivalent atoms, fractional coordinates:
Te (0.000, 0.000, 0.000) (multiplicity 1)
W (0.500, 0.500, 0.500) (multiplicity 1)
C (0.000, 0.500, 0.500) (multiplicity 3)

=====

Record 8
Starting from a cell relaxed with GGA-PBE, the PXRD pattern of YTe3C was computed for Cu Kα (λ = 1.5418 Å).

Most intense lines, 10° ≤ 2θ ≤ 90°, in order of rising 2θ:
(hkl), two_theta, I/Imax
1 0 0, 18.20, 30
1 1 1, 31.80, 1000
2 0 0, 36.89, 549
2 1 0, 41.43, 13
2 2 0, 53.16, 376
3 0 0, 56.66, 6
3 1 1, 63.29, 410
2 2 2, 66.46, 126
4 0 0, 78.51, 58
3 3 1, 87.18, 171

Crystal structure
a = 4.873 Å, b = 4.873 Å, c = 4.873 Å
α = 90.00°, β = 90.00°, γ = 90.00°
Space group Pm-3m (No. 221)
Inequivalent atoms, fractional coordinates:
Y (0.000, 0.000, 0.000) (multiplicity 1)
Te (0.000, 0.500, 0.500) (multiplicity 3)
C (0.500, 0.500, 0.500) (multiplicity 1)